Simulated X-ray diffraction stick pattern of GdSnSO for CuKα, from a structure optimized by DFT (GGA-PBE).

Atomic structure:
```
32
Lattice="6.0348 0.0000 0.0000 0.0000 18.0158 0.0000 -0.0110 0.0000 5.9653" Properties=species:S:1:pos:R:3 pbc="T T T"
Gd 0.7970 3.5235 0.2318
Gd 0.7915 5.4844 3.2145
Gd 2.2196 12.5308 0.2318
Gd 2.2141 14.4929 3.2145
Gd 3.8097 3.5229 2.7508
Gd 3.8042 5.4850 5.7335
Gd 5.2323 12.5313 2.7508
Gd 5.2268 14.4923 5.7335
Sn 1.1193 9.3930 3.9581
Sn 1.1248 17.6307 0.9755
Sn 1.8831 0.3852 3.9558
Sn 1.8886 8.6227 0.9732
Sn 4.1353 9.3931 4.9921
Sn 4.1408 17.6306 2.0095
Sn 4.8990 0.3851 4.9898
Sn 4.9045 8.6228 2.0072
S 0.0119 1.7614 2.3155
S 0.0064 7.2465 5.2982
S 2.9972 10.7695 2.3152
S 2.9917 16.2542 5.2979
S 3.0321 1.7616 0.6674
S 3.0266 7.2463 3.6501
S 6.0174 10.7693 0.6671
S 6.0119 16.2544 3.6498
O 0.8282 13.3467 4.5617
O 0.8337 13.6770 1.5790
O 2.1724 4.3383 4.5618
O 2.1779 4.6696 1.5791
O 3.8460 13.3462 4.3862
O 3.8515 13.6775 1.4035
O 5.1901 4.3388 4.3863
O 5.1956 4.6691 1.4036
```

Largest 10 diffraction maxima, low angle first, 2θ from 5° to 70°:
h k l, Position (°2θ), Rel. int.
0 4 0, 19.71, 51.6
1 2 1, 23.17, 26.8
1 4 1, 28.91, 100.0
2 1 0, 30.02, 37.9
0 2 2, 31.60, 41.3
1 5 1, 32.61, 79.4
1 0 -2, 33.47, 26.0
1 0 2, 33.58, 33.3
2 1 2, 42.93, 52.4
2 9 0, 55.05, 26.6

=====

Simulated X-ray diffraction stick pattern of GdSnSO for CuKα, from a structure optimized by DFT (GGA-PBE).

Atomic structure:
```
32
Lattice="5.9885 0.0000 0.0000 0.0000 6.0544 0.0000 0.0000 0.0000 17.7843" Properties=species:S:1:pos:R:3 pbc="T T T"
Gd 0.1671 0.7313 3.5216
Gd 0.1671 2.2959 12.4137
Gd 2.8271 3.7585 3.5216
Gd 2.8271 5.3231 12.4137
Gd 3.1614 0.7313 5.3706
Gd 3.1614 2.2959 14.2627
Gd 5.8214 3.7585 5.3706
Gd 5.8214 5.3231 14.2627
Sn 0.8722 1.2369 17.4307
Sn 0.8722 1.7903 8.5385
Sn 2.1220 4.2641 17.4307
Sn 2.1220 4.8175 8.5385
Sn 3.8665 1.2369 9.2458
Sn 3.8665 1.7903 0.3536
Sn 5.1163 4.2641 9.2458
Sn 5.1163 4.8175 0.3536
S 0.6789 3.0511 1.8189
S 0.6789 6.0305 10.7111
S 2.3154 0.0239 1.8189
S 2.3154 3.0033 10.7111
S 3.6731 3.0511 7.0732
S 3.6731 6.0305 15.9653
S 5.3096 0.0239 7.0732
S 5.3096 3.0033 15.9653
O 1.4774 0.8391 13.5748
O 1.4774 2.1881 4.6826
O 1.5168 3.8664 13.5748
O 1.5168 5.2153 4.6826
O 4.4717 0.8391 13.1017
O 4.4717 2.1881 4.2095
O 4.5111 3.8664 13.1017
O 4.5111 5.2153 4.2095
```

Largest 10 diffraction maxima, low angle first, 2θ from 5° to 70°:
h k l, Position (°2θ), Rel. int.
0 0 4, 19.97, 60.7
1 1 3, 25.76, 29.5
1 1 4, 29.04, 100.0
0 2 1, 29.94, 37.5
2 0 2, 31.53, 35.7
1 1 5, 32.81, 92.4
2 1 0, 33.38, 42.0
2 1 4, 39.21, 29.6
2 2 1, 42.77, 54.4
0 2 9, 55.54, 22.4

=====

Simulated X-ray diffraction stick pattern of GdSnSO for CuKα, from a structure optimized by DFT (GGA-PBE).

Atomic structure:
```
32
Lattice="5.9180 0.0000 0.0000 0.0000 6.0575 0.0000 0.0000 0.0000 18.0390" Properties=species:S:1:pos:R:3 pbc="T T T"
Gd 0.1672 0.7087 3.5657
Gd 0.1672 2.3201 12.5852
Gd 2.7918 3.7374 3.5657
Gd 2.7918 5.3488 12.5852
Gd 3.1262 0.7087 5.4538
Gd 3.1262 2.3201 14.4733
Gd 5.7508 3.7374 5.4538
Gd 5.7508 5.3488 14.4733
Sn 1.2747 0.7496 17.6747
Sn 1.2747 2.2792 8.6552
Sn 1.6843 3.7783 17.6747
Sn 1.6843 5.3079 8.6552
Sn 4.2337 0.7496 9.3838
Sn 4.2337 2.2792 0.3643
Sn 4.6433 3.7783 9.3838
Sn 4.6433 5.3079 0.3643
S 0.5551 3.1299 1.9115
S 0.5551 5.9563 10.9309
S 2.4039 0.1012 1.9115
S 2.4039 2.9275 10.9309
S 3.5141 3.1299 7.1080
S 3.5141 5.9563 16.1275
S 5.3629 0.1012 7.1080
S 5.3629 2.9275 16.1275
O 1.4685 0.8509 13.7427
O 1.4685 2.1779 4.7232
O 1.4905 3.8796 13.7427
O 1.4905 5.2066 4.7232
O 4.4275 0.8509 13.3158
O 4.4275 2.1779 4.2963
O 4.4495 3.8796 13.3158
O 4.4495 5.2066 4.2963
```

Largest 10 diffraction maxima, low angle first, 2θ from 5° to 70°:
h k l, Position (°2θ), Rel. int.
0 0 4, 19.69, 61.8
1 1 4, 28.93, 67.7
0 2 1, 29.91, 36.2
2 0 2, 31.83, 90.1
1 1 5, 32.61, 100.0
1 2 1, 33.61, 65.8
1 2 5, 41.83, 33.1
2 2 1, 43.03, 54.6
2 0 8, 50.96, 43.1
0 2 9, 54.93, 36.3